Starting from DFT lattice parameters and positions (GGA-PBE), the X-ray powder pattern of La5SmTh2 was computed for Cu Kα.
Intensities are scaled so that the largest is 100.

Structural model:
```
La5SmTh2
1.0
3.620 0.000 0.000
0.000 8.960 0.000
-3.274 0.000 17.566
La Sm Th
10 2 4
direct
0.000 0.033 0.250
0.000 0.967 0.750
0.154 0.341 0.359
0.154 0.659 0.859
0.195 0.315 0.952
0.195 0.685 0.452
0.805 0.315 0.548
0.805 0.685 0.048
0.846 0.341 0.141
0.846 0.659 0.641
0.500 0.319 0.750
0.500 0.681 0.250
0.329 0.008 0.084
0.329 0.992 0.584
0.671 0.008 0.416
0.671 0.992 0.916
```

Peak list (8 most intense, 5° ≤ 2θ ≤ 70°, low angle first)
two_theta  intensity
9.9  46
27.3  48
29.9  88
30.5  100
31.0  61
32.4  38
35.2  63
35.6  51

Starting from DFT lattice parameters and positions (GGA-PBE), the X-ray powder pattern of La10Sm4Th was computed for Cu Kα.
Intensities are scaled so that the largest is 100.

Structural model:
```
La10Sm4Th
1.0
-5.077 5.077 5.495
5.077 -5.077 5.495
5.077 5.077 -5.495
La Sm Th
10 4 1
direct
0.056 0.406 0.121
0.065 0.944 0.350
0.250 0.750 0.500
0.285 0.935 0.879
0.406 0.285 0.350
0.594 0.715 0.650
0.715 0.065 0.121
0.750 0.250 0.500
0.935 0.056 0.650
0.944 0.594 0.879
0.225 0.437 0.662
0.437 0.775 0.212
0.563 0.225 0.788
0.775 0.563 0.338
0.000 0.000 0.000
```

Peak list (8 most intense, 5° ≤ 2θ ≤ 70°, low angle first)
two_theta  intensity
11.9  16
21.2  21
27.8  71
31.4  100
32.3  32
39.7  31
40.4  19
58.0  20

Starting from DFT lattice parameters and positions (GGA-PBE), the X-ray powder pattern of La3Sm2Th3 was computed for Cu Kα.
Intensities are scaled so that the largest is 100.

Structural model:
```
La3Sm2Th3
1.0
5.108 0.000 0.000
0.000 5.174 0.000
0.000 0.000 10.257
La Sm Th
3 2 3
direct
0.000 0.000 0.000
0.000 0.000 0.500
0.500 0.500 0.000
0.500 0.000 0.256
0.500 0.000 0.744
0.000 0.500 0.255
0.000 0.500 0.745
0.500 0.500 0.500
```

Peak list (8 most intense, 5° ≤ 2θ ≤ 70°, low angle first)
two_theta  intensity
30.1  100
34.7  17
35.0  17
35.1  17
59.4  15
59.8  14
60.0  14
62.7  13

Starting from DFT lattice parameters and positions (GGA-PBE), the X-ray powder pattern of La12Sm7Th was computed for Cu Kα.
Intensities are scaled so that the largest is 100.

Structural model:
```
La12Sm7Th
1.0
6.959 4.018 4.216
-6.959 4.018 4.216
0.000 -8.035 4.216
La Sm Th
12 7 1
direct
0.000 0.257 0.743
0.000 0.743 0.257
0.159 0.591 0.591
0.257 0.000 0.743
0.257 0.743 0.000
0.409 0.409 0.841
0.409 0.841 0.409
0.591 0.159 0.591
0.591 0.591 0.159
0.743 0.000 0.257
0.743 0.257 0.000
0.841 0.409 0.409
0.149 0.149 0.406
0.149 0.406 0.149
0.406 0.149 0.149
0.500 0.500 0.500
0.594 0.851 0.851
0.851 0.594 0.851
0.851 0.851 0.594
0.000 0.000 0.000
```

Peak list (8 most intense, 5° ≤ 2θ ≤ 70°, low angle first)
two_theta  intensity
29.2  54
30.2  74
30.5  100
30.7  63
32.9  43
48.8  25
52.6  25
54.7  32